[1]
Structure and calculated powder XRD pattern of YErGe4 (a structure optimized by DFT (GGA-PBE); Cu Kα, 1.54184 Å).

a = 3.916 Å, b = 4.040 Å, c = 16.103 Å
α = 90.00°, β = 90.00°, γ = 90.00°
Space group Amm2 (No. 38)
Symmetry-distinct sites (fractional):
Y: 0.000 0.000 0.000 (multiplicity 2)
Er: 0.500 0.000 0.793 (multiplicity 2)
Ge: 0.000 0.000 0.342 (multiplicity 2)
Ge: 0.000 0.000 0.645 (multiplicity 2)
Ge: 0.500 0.000 0.150 (multiplicity 2)
Ge: 0.500 0.000 0.446 (multiplicity 2)

Main lines, sorted by position (2θ = 10–80°):
| 2theta | I (rel.) | index |
| --- | --- | --- |
| 11.0 | 11 | 0 0 2 |
| 25.3 | 12 | 1 0 2 |
| 27.6 | 13 | 0 1 3 |
| 33.4 | 18 | 0 0 6 |
| 35.7 | 13 | 0 1 5 |
| 36.1 | 100 | 1 1 3 |
| 40.8 | 13 | 1 0 6 |
| 44.9 | 16 | 0 2 0 |
| 46.4 | 15 | 2 0 0 |
| 76.9 | 11 | 1 3 3 |

---

[2]
Structure and calculated powder XRD pattern of ErSe2O8 (a structure optimized by DFT (GGA-PBE); Cu Kα, 1.54184 Å).

a = 9.091 Å, b = 9.091 Å, c = 9.091 Å
α = 90.00°, β = 90.00°, γ = 90.00°
Space group Fm-3m (No. 225)
Symmetry-distinct sites (fractional):
Er: 0.000 0.000 0.000 (multiplicity 4)
Se: 0.250 0.250 0.250 (multiplicity 8)
O: 0.145 0.145 0.145 (multiplicity 32)

Main lines, sorted by position (2θ = 10–80°):
| 2theta | I (rel.) | index |
| --- | --- | --- |
| 16.9 | 77 | 1 1 1 |
| 27.8 | 100 | 2 2 0 |
| 32.7 | 16 | 3 1 1 |
| 43.4 | 28 | 3 3 1 |
| 49.1 | 38 | 4 2 2 |
| 52.3 | 9 | 5 1 1 |
| 57.3 | 19 | 4 4 0 |
| 60.2 | 12 | 5 3 1 |
| 64.9 | 15 | 6 2 0 |
| 78.8 | 21 | 6 4 2 |

---

[3]
Structure and calculated powder XRD pattern of UH10C10N2Cl6 (a structure optimized by DFT (GGA-PBE); Cu Kα, 1.54184 Å).

a = 13.600 Å, b = 9.469 Å, c = 7.013 Å
α = 90.00°, β = 100.23°, γ = 90.00°
Space group C2/m (No. 12)
Symmetry-distinct sites (fractional):
U: 0.000 0.000 0.000 (multiplicity 2)
H: 0.060 0.270 0.441 (multiplicity 8)
H: 0.207 0.280 0.276 (multiplicity 8)
H: 0.228 0.000 0.792 (multiplicity 4)
C: 0.044 0.500 0.454 (multiplicity 4)
C: 0.089 0.373 0.408 (multiplicity 8)
C: 0.171 0.375 0.317 (multiplicity 8)
N: 0.209 0.500 0.272 (multiplicity 4)
Cl: 0.110 0.192 0.876 (multiplicity 8)
Cl: 0.122 0.000 0.328 (multiplicity 4)

Main lines, sorted by position (2θ = 10–80°):
| 2theta | I (rel.) | index |
| --- | --- | --- |
| 11.4 | 100 | 1 1 0 |
| 12.8 | 25 | 0 0 1 |
| 13.2 | 37 | 2 0 0 |
| 16.3 | 43 | 1 1 -1 |
| 16.7 | 27 | 2 0 -1 |
| 18.1 | 76 | 1 1 1 |
| 23.7 | 21 | 3 1 -1 |
| 25.2 | 36 | 2 2 -1 |
| 31.2 | 32 | 2 0 2 |
| 35.9 | 26 | 3 3 -1 |

---

[4]
Structure and calculated powder XRD pattern of Si2Au3 (a structure optimized by DFT (GGA-PBE); Cu Kα, 1.54184 Å).

a = 4.2466 Å, b = 4.2466 Å, c = 5.9159 Å
α = 90.00°, β = 90.00°, γ = 120.00°
Space group P-3m1 (No. 164)
Symmetry-distinct sites (fractional):
Si: 0.3333 0.6667 0.2228 (multiplicity 2)
Au: 0.0000 0.0000 0.0000 (multiplicity 1)
Au: 0.3333 0.6667 0.6644 (multiplicity 2)

Main lines, sorted by position (2θ = 10–80°):
| 2theta | I (rel.) | index |
| --- | --- | --- |
| 28.6 | 100 | 1 0 1 |
| 39.1 | 61 | 0 1 2 |
| 42.6 | 50 | 1 1 0 |
| 46.0 | 10 | 0 0 3 |
| 52.1 | 20 | 0 2 1 |
| 59.2 | 18 | 2 0 2 |
| 64.5 | 23 | 1 1 3 |
| 68.4 | 11 | 1 0 4 |
| 69.5 | 17 | 2 1 1 |
| 75.6 | 18 | 1 2 2 |

---

[5]
Structure and calculated powder XRD pattern of CsCoCuTc (a structure optimized by DFT (GGA-PBE); Cu Kα, 1.54184 Å).

a = 6.729 Å, b = 6.729 Å, c = 6.729 Å
α = 90.00°, β = 90.00°, γ = 90.00°
Space group F-43m (No. 216)
Symmetry-distinct sites (fractional):
Cs: 0.000 0.000 0.000 (multiplicity 4)
Co: 0.250 0.250 0.750 (multiplicity 4)
Cu: 0.250 0.250 0.250 (multiplicity 4)
Tc: 0.000 0.000 0.500 (multiplicity 4)

Main lines, sorted by position (2θ = 10–80°):
| 2theta | I (rel.) | index |
| --- | --- | --- |
| 22.9 | 2 | 1 1 1 |
| 26.5 | 10 | 2 0 0 |
| 37.8 | 100 | 2 2 0 |
| 44.7 | 1 | 3 1 1 |
| 46.8 | 3 | 2 2 2 |
| 54.6 | 17 | 4 0 0 |
| 61.6 | 4 | 4 2 0 |
| 68.3 | 33 | 4 2 2 |